# 1
HfMg4Pd5: simulated powder diffractogram (Cu Kα, 1.54184 Å), based on a structure optimized by DFT (PBE).
Kinematic intensities with the Lorentz-polarization factor, no thermal factor.

The 12 most intense peaks (10 to 90 degrees two-theta), sorted by position:
hkl 0 0 2, 2θ = 10.76°, I 17.1; hkl 0 0 3, 2θ = 16.17°, I 7.3; hkl 1 0 0, 2θ = 28.05°, I 13.4; hkl 1 0 1, 2θ = 28.58°, I 9.1; hkl 1 0 4, 2θ = 35.68°, I 9.5; hkl 1 0 5, 2θ = 39.40°, I 100.0; hkl 1 1 0, 2θ = 40.08°, I 49.0; hkl 0 0 10, 2θ = 55.91°, I 8.2; hkl 2 0 0, 2θ = 57.98°, I 16.3; hkl 1 1 10, 2θ = 70.99°, I 15.7; hkl 2 1 5, 2θ = 72.36°, I 32.3; hkl 2 0 10, 2θ = 84.79°, I 9.8

Crystal structure
Unit cell a=3.1815 b=3.1815 c=16.4461 alpha=90.00 beta=90.00 gamma=90.00
Space group P4/mmm (No. 123)
Inequivalent atoms, fractional coordinates:
Hf  0.0000  0.0000  0.0000 (multiplicity 1)
Mg  0.0000  0.0000  0.2099 (multiplicity 2)
Mg  0.0000  0.0000  0.4036 (multiplicity 2)
Pd  0.5000  0.5000  0.1057 (multiplicity 2)
Pd  0.5000  0.5000  0.3068 (multiplicity 2)
Pd  0.5000  0.5000  0.5000 (multiplicity 1)

***

# 2
Hf3MgPd12: simulated powder diffractogram (Cu Kα, 1.54184 Å), based on a structure optimized by DFT (PBE).
Kinematic intensities with the Lorentz-polarization factor, no thermal factor.

The 12 most intense peaks (10 to 90 degrees two-theta), sorted by position:
hkl 0 0 2, 2θ = 11.10°, I 3.3; hkl 0 0 3, 2θ = 16.69°, I 2.1; hkl 1 0 1, 2θ = 22.86°, I 2.1; hkl 1 0 3, 2θ = 27.87°, I 2.6; hkl 1 1 4, 2θ = 38.98°, I 100.0; hkl 2 0 0, 2θ = 45.21°, I 32.8; hkl 0 0 8, 2θ = 45.53°, I 16.2; hkl 2 2 0, 2θ = 65.86°, I 10.5; hkl 2 0 8, 2θ = 66.11°, I 20.6; hkl 3 1 4, 2θ = 79.27°, I 24.6; hkl 1 1 12, 2θ = 79.72°, I 11.9; hkl 2 2 8, 2θ = 83.72°, I 10.7

Crystal structure
Unit cell a=4.0109 b=4.0109 c=15.9387 alpha=90.00 beta=90.00 gamma=90.00
Space group P4/mmm (No. 123)
Inequivalent atoms, fractional coordinates:
Hf  0.0000  0.0000  0.0000 (multiplicity 1)
Hf  0.0000  0.0000  0.2556 (multiplicity 2)
Mg  0.0000  0.0000  0.5000 (multiplicity 1)
Pd  0.0000  0.5000  0.1247 (multiplicity 4)
Pd  0.0000  0.5000  0.3740 (multiplicity 4)
Pd  0.5000  0.5000  0.0000 (multiplicity 1)
Pd  0.5000  0.5000  0.2488 (multiplicity 2)
Pd  0.5000  0.5000  0.5000 (multiplicity 1)

***

# 3
HfMg3Pd4: simulated powder diffractogram (Cu Kα, 1.54184 Å), based on a structure optimized by DFT (PBE).
Kinematic intensities with the Lorentz-polarization factor, no thermal factor.

The 12 most intense peaks (10 to 90 degrees two-theta), sorted by position:
hkl 0 0 2, 2θ = 13.79°, I 15.5; hkl 1 0 0, 2θ = 27.54°, I 9.4; hkl 1 0 1, 2θ = 28.43°, I 12.0; hkl 1 0 2, 2θ = 30.93°, I 9.3; hkl 1 0 3, 2θ = 34.74°, I 9.7; hkl 1 1 0, 2θ = 39.35°, I 51.1; hkl 1 0 4, 2θ = 39.53°, I 100.0; hkl 2 0 0, 2θ = 56.87°, I 17.2; hkl 0 0 8, 2θ = 57.41°, I 9.5; hkl 2 1 4, 2θ = 71.47°, I 33.9; hkl 1 1 8, 2θ = 71.83°, I 16.3; hkl 2 0 8, 2θ = 85.12°, I 10.9

Crystal structure
Unit cell a=3.2383 b=3.2383 c=12.8389 alpha=90.00 beta=90.00 gamma=90.00
Space group P4/mmm (No. 123)
Inequivalent atoms, fractional coordinates:
Hf  0.0000  0.0000  0.0000 (multiplicity 1)
Mg  0.0000  0.0000  0.2596 (multiplicity 2)
Mg  0.0000  0.0000  0.5000 (multiplicity 1)
Pd  0.5000  0.5000  0.1282 (multiplicity 2)
Pd  0.5000  0.5000  0.3784 (multiplicity 2)

***

# 4
HfMg2Pt4: simulated powder diffractogram (Cu Kα, 1.54184 Å), based on a structure optimized by DFT (PBE).
Kinematic intensities with the Lorentz-polarization factor, no thermal factor.

The 12 most intense peaks (10 to 90 degrees two-theta), sorted by position:
hkl 1 0 1, 2θ = 22.55°, I 13.1; hkl 0 0 4, 2θ = 24.15°, I 26.2; hkl 1 1 0, 2θ = 30.91°, I 28.5; hkl 1 1 4, 2θ = 39.60°, I 100.0; hkl 2 0 0, 2θ = 44.28°, I 36.7; hkl 0 0 8, 2θ = 49.46°, I 13.2; hkl 2 0 4, 2θ = 51.06°, I 14.4; hkl 2 2 0, 2θ = 64.41°, I 12.2; hkl 2 0 8, 2θ = 68.54°, I 20.0; hkl 3 1 4, 2θ = 78.32°, I 28.7; hkl 2 2 8, 2θ = 85.30°, I 11.4; hkl 1 1 12, 2θ = 85.96°, I 11.8

Crystal structure
Unit cell a=4.0914 b=4.0914 c=14.7415 alpha=90.00 beta=90.00 gamma=90.00
Space group I4/mmm (No. 139)
Inequivalent atoms, fractional coordinates:
Hf  0.0000  0.0000  0.0000 (multiplicity 2)
Mg  0.0000  0.0000  0.2543 (multiplicity 4)
Pt  0.0000  0.5000  0.1231 (multiplicity 8)